Structure and simulated powder X-ray diffraction pattern of NaCoAsCO7 (a cell relaxed with PBE+U; Cu Kα).

Main lines, most intense first (2θ = 10–80°):
d (Å)	2θ/deg	I/Imax	(hkl)
3.110	28.7	100	0 2 0
3.607	24.7	88	1 0 -2
3.659	24.3	68	1 1 1
5.215	17.0	66	0 1 1
4.678	19.0	63	1 0 -1
4.525	19.6	56	1 0 1
3.028	29.5	47	1 1 2
2.623	34.2	44	2 0 0
1.829	49.9	41	0 1 5
2.460	36.5	41	1 1 3

Cell and atoms:
Lattice parameters (Å, degrees): 5.2493 6.2195 9.5758 90.00 92.27 90.00
Positions (direct):
1 Na 0.2228 0.0000 0.2830
2 Na 0.7772 0.5000 0.7170
3 Co 0.2138 0.2061 0.8382
4 Co 0.7862 0.7061 0.1618
5 As 0.2875 0.7120 0.9415
6 As 0.7125 0.2120 0.0585
7 C 0.2962 0.2046 0.5976
8 C 0.7038 0.7046 0.4024
9 O 0.0678 0.2104 0.6505
10 O 0.1277 0.7193 0.0932
11 O 0.2077 0.5073 0.8240
12 O 0.2075 0.9125 0.8211
13 O 0.3442 0.1945 0.4732
14 O 0.3869 0.1991 0.0222
15 O 0.4708 0.2105 0.7026
16 O 0.5292 0.7105 0.2974
17 O 0.6131 0.6991 0.9778
18 O 0.6558 0.6945 0.5268
19 O 0.7923 0.0073 0.1760
20 O 0.7925 0.4125 0.1789
21 O 0.8723 0.2193 0.9068
22 O 0.9322 0.7104 0.3495